Calculated powder XRD pattern
Compound: Ho2CrPt9
Radiation: CuKα
Structure: DFT lattice parameters and positions (PBE)
Peak positions follow from Bragg's law for the DFT cell and can differ from measured ones.

Peak list (10 most intense, 2θ = 10–90°, in order of rising 2θ)
hkl 1 0 0, 22.0 deg, I = 2
hkl 1 1 0, 31.2 deg, I = 2
hkl 1 1 3, 38.5 deg, I = 100
hkl 0 0 6, 44.7 deg, I = 15
hkl 2 0 0, 44.8 deg, I = 33
hkl 2 2 0, 65.2 deg, I = 31
hkl 1 1 8, 70.1 deg, I = 2
hkl 1 1 9, 78.2 deg, I = 11
hkl 3 1 3, 78.4 deg, I = 26
hkl 2 2 6, 82.5 deg, I = 11

Structure:
```
data_Ho2CrPt9
_cell_length_a 4.0453
_cell_length_b 4.0453
_cell_length_c 12.1666
_cell_angle_alpha 90.00
_cell_angle_beta 90.00
_cell_angle_gamma 90.00
_symmetry_space_group_name_H-M 'P 4/m m m'
_symmetry_Int_Tables_number 123
_symmetry_space_group_name_Hall '-P 4 2'
loop_
_atom_site_label
_atom_site_fract_x
_atom_site_fract_y
_atom_site_fract_z
Ho1 0.0000 0.0000 0.1703
Cr1 0.0000 0.0000 0.5000
Pt1 0.0000 0.5000 0.0000
Pt2 0.0000 0.5000 0.3456
Pt3 0.5000 0.5000 0.1724
Pt4 0.5000 0.5000 0.5000
```